This entry pairs a crystal structure of Li3MnCoO5 with its calculated X-ray powder pattern. Radiation: Cu Kα, 1.54184 Å. Structure: a DFT-relaxed cell (PBE+U, the Materials Project).
Lines closer than 0.1° are merged.

Top 10 peaks for 2θ = 15–90°, by angle:
2θ/deg, d [Å], I/Imax
18.2, 4.873, 100.0
35.9, 2.501, 26.2
36.3, 2.472, 11.8
43.2, 2.095, 60.1
44.2, 2.050, 26.4
47.8, 1.902, 8.1
56.7, 1.622, 11.6
63.1, 1.473, 15.2
63.5, 1.465, 10.2
63.9, 1.457, 13.6

Structural model:
```
data_Li3MnCoO5
_cell_length_a 7.874
_cell_length_b 7.874
_cell_length_c 8.199
_cell_angle_alpha 104.24
_cell_angle_beta 104.24
_cell_angle_gamma 21.45
_symmetry_space_group_name_H-M 'P 1'
_symmetry_Int_Tables_number 1
_symmetry_space_group_name_Hall 'P 1'
loop_
_atom_site_label
_atom_site_type_symbol
_atom_site_fract_x
_atom_site_fract_y
_atom_site_fract_z
_atom_site_occupancy
Li1 Li 0.000 0.000 0.000 1
Li2 Li 0.008 0.008 0.514 1
Li3 Li 0.205 0.205 0.612 1
Li4 Li 0.411 0.411 0.226 1
Li5 Li 0.599 0.599 0.788 1
Li6 Li 0.816 0.816 0.423 1
Mn1 Mn 0.207 0.207 0.104 1
Mn2 Mn 0.605 0.605 0.319 1
Co1 Co 0.415 0.415 0.695 1
Co2 Co 0.812 0.812 0.897 1
O1 O 0.004 0.004 0.761 1
O2 O 0.021 0.021 0.262 1
O3 O 0.196 0.196 0.340 1
O4 O 0.213 0.213 0.878 1
O5 O 0.403 0.403 0.961 1
O6 O 0.405 0.405 0.469 1
O7 O 0.610 0.610 0.539 1
O8 O 0.620 0.620 0.073 1
O9 O 0.794 0.794 0.151 1
O10 O 0.809 0.809 0.672 1
```



This entry pairs a crystal structure of Li7Mn4CoO12 with its calculated X-ray powder pattern. Radiation: Cu Kα, 1.54184 Å. Structure: a DFT-relaxed cell (PBE+U, the Materials Project).
Lines closer than 0.1° are merged.

Top 10 peaks for 2θ = 15–90°, by angle:
2θ/deg, d [Å], I/Imax
17.1, 5.187, 8.3
18.4, 4.820, 100.0
34.6, 2.594, 15.2
36.5, 2.463, 23.6
41.6, 2.169, 32.7
44.4, 2.041, 27.4
44.5, 2.037, 27.2
62.4, 1.488, 16.0
62.6, 1.483, 15.4
65.2, 1.431, 7.7

Structural model:
```
data_Li7Mn4CoO12
_cell_length_a 7.919
_cell_length_b 7.926
_cell_length_c 8.717
_cell_angle_alpha 108.69
_cell_angle_beta 102.21
_cell_angle_gamma 114.40
_symmetry_space_group_name_H-M 'P 1'
_symmetry_Int_Tables_number 1
_symmetry_space_group_name_Hall 'P 1'
loop_
_atom_site_label
_atom_site_type_symbol
_atom_site_fract_x
_atom_site_fract_y
_atom_site_fract_z
_atom_site_occupancy
Li1 Li 0.041 0.408 0.125 1
Li2 Li 0.123 0.263 0.385 1
Li3 Li 0.217 0.081 0.626 1
Li4 Li 0.251 0.500 0.751 1
Li5 Li 0.284 0.917 0.875 1
Li6 Li 0.373 0.740 0.114 1
Li7 Li 0.456 0.592 0.374 1
Li8 Li 0.544 0.408 0.626 1
Li9 Li 0.627 0.260 0.886 1
Li10 Li 0.716 0.083 0.125 1
Li11 Li 0.749 0.500 0.249 1
Li12 Li 0.783 0.919 0.374 1
Li13 Li 0.877 0.737 0.615 1
Li14 Li 0.959 0.592 0.875 1
Mn1 Mn 0.083 0.828 0.250 1
Mn2 Mn 0.167 0.667 0.500 1
Mn3 Mn 0.333 0.333 0.000 1
Mn4 Mn 0.422 0.167 0.250 1
Mn5 Mn 0.578 0.833 0.750 1
Mn6 Mn 0.667 0.667 0.000 1
Mn7 Mn 0.833 0.333 0.500 1
Mn8 Mn 0.917 0.172 0.750 1
Co1 Co 0.000 0.000 0.000 1
Co2 Co 0.500 0.000 0.500 1
O1 O 0.001 0.782 0.435 1
O2 O 0.052 0.615 0.668 1
O3 O 0.110 0.050 0.832 1
O4 O 0.153 0.433 0.937 1
O5 O 0.196 0.883 0.078 1
O6 O 0.219 0.279 0.169 1
O7 O 0.280 0.716 0.332 1
O8 O 0.324 0.106 0.430 1
O9 O 0.348 0.566 0.565 1
O10 O 0.384 0.948 0.668 1
O11 O 0.448 0.386 0.833 1
O12 O 0.497 0.217 0.063 1
O13 O 0.503 0.783 0.937 1
O14 O 0.552 0.614 0.167 1
O15 O 0.616 0.052 0.332 1
O16 O 0.652 0.434 0.435 1
O17 O 0.676 0.894 0.570 1
O18 O 0.720 0.284 0.668 1
O19 O 0.781 0.721 0.831 1
O20 O 0.804 0.117 0.922 1
O21 O 0.847 0.567 0.063 1
O22 O 0.890 0.950 0.168 1
O23 O 0.948 0.385 0.332 1
O24 O 0.999 0.218 0.565 1
```



This entry pairs a crystal structure of Li4MnCo2O7 with its calculated X-ray powder pattern. Radiation: Cu Kα, 1.54184 Å. Structure: a DFT-relaxed cell (PBE+U, the Materials Project).
Lines closer than 0.1° are merged.

Top 10 peaks for 2θ = 15–90°, by angle:
2θ/deg, d [Å], I/Imax
18.2, 4.866, 100.0
35.6, 2.523, 12.8
36.3, 2.477, 24.9
43.1, 2.097, 26.2
43.7, 2.070, 55.2
47.7, 1.905, 8.6
57.4, 1.605, 9.5
62.5, 1.486, 7.4
62.9, 1.477, 14.2
63.3, 1.469, 13.1

Structural model:
```
data_Li4MnCo2O7
_cell_length_a 14.836
_cell_length_b 14.836
_cell_length_c 5.944
_cell_angle_alpha 96.16
_cell_angle_beta 96.16
_cell_angle_gamma 11.16
_symmetry_space_group_name_H-M 'P 1'
_symmetry_Int_Tables_number 1
_symmetry_space_group_name_Hall 'P 1'
loop_
_atom_site_label
_atom_site_type_symbol
_atom_site_fract_x
_atom_site_fract_y
_atom_site_fract_z
_atom_site_occupancy
Li1 Li 0.000 0.000 0.000 1
Li2 Li 0.000 0.000 0.500 1
Li3 Li 0.140 0.140 0.573 1
Li4 Li 0.286 0.286 0.147 1
Li5 Li 0.433 0.433 0.709 1
Li6 Li 0.567 0.567 0.291 1
Li7 Li 0.714 0.714 0.853 1
Li8 Li 0.860 0.860 0.427 1
Mn1 Mn 0.143 0.143 0.067 1
Mn2 Mn 0.857 0.857 0.933 1
Co1 Co 0.285 0.285 0.638 1
Co2 Co 0.436 0.436 0.230 1
Co3 Co 0.564 0.564 0.770 1
Co4 Co 0.715 0.715 0.362 1
O1 O 0.073 0.073 0.556 1
O2 O 0.078 0.078 0.017 1
O3 O 0.210 0.210 0.117 1
O4 O 0.215 0.215 0.600 1
O5 O 0.355 0.355 0.148 1
O6 O 0.357 0.357 0.709 1
O7 O 0.497 0.497 0.242 1
O8 O 0.503 0.503 0.758 1
O9 O 0.643 0.643 0.291 1
O10 O 0.645 0.645 0.852 1
O11 O 0.785 0.785 0.400 1
O12 O 0.790 0.790 0.883 1
O13 O 0.922 0.922 0.983 1
O14 O 0.927 0.927 0.444 1
```



This entry pairs a crystal structure of Li7Mn2Co3O12 with its calculated X-ray powder pattern. Radiation: Cu Kα, 1.54184 Å. Structure: a DFT-relaxed cell (PBE+U, the Materials Project).
Lines closer than 0.1° are merged.

Top 10 peaks for 2θ = 15–90°, by angle:
2θ/deg, d [Å], I/Imax
18.5, 4.804, 100.0
34.6, 2.593, 17.4
36.0, 2.493, 12.4
36.7, 2.447, 10.4
41.8, 2.163, 32.4
43.8, 2.069, 27.7
44.9, 2.017, 24.7
61.8, 1.500, 8.3
62.3, 1.490, 8.1
65.0, 1.435, 8.9

Structural model:
```
data_Li7Mn2Co3O12
_cell_length_a 3.003
_cell_length_b 5.008
_cell_length_c 14.434
_cell_angle_alpha 87.67
_cell_angle_beta 88.32
_cell_angle_gamma 87.88
_symmetry_space_group_name_H-M 'P 1'
_symmetry_Int_Tables_number 1
_symmetry_space_group_name_Hall 'P 1'
loop_
_atom_site_label
_atom_site_type_symbol
_atom_site_fract_x
_atom_site_fract_y
_atom_site_fract_z
_atom_site_occupancy
Li1 Li 0.000 0.000 0.000 1
Li2 Li 0.001 0.004 0.500 1
Li3 Li 0.008 0.672 0.342 1
Li4 Li 0.496 0.158 0.344 1
Li5 Li 0.503 0.843 0.658 1
Li6 Li 0.505 0.509 0.998 1
Li7 Li 0.994 0.338 0.658 1
Mn1 Mn 0.003 0.336 0.168 1
Mn2 Mn 0.500 0.171 0.832 1
Co1 Co 0.501 0.504 0.500 1
Co2 Co 0.503 0.837 0.168 1
Co3 Co 0.999 0.671 0.831 1
O1 O 0.015 0.354 0.427 1
O2 O 0.034 0.005 0.244 1
O3 O 0.034 0.349 0.912 1
O4 O 0.477 0.161 0.091 1
O5 O 0.493 0.846 0.910 1
O6 O 0.496 0.799 0.425 1
O7 O 0.507 0.211 0.574 1
O8 O 0.512 0.499 0.756 1
O9 O 0.525 0.509 0.242 1
O10 O 0.968 0.668 0.091 1
O11 O 0.968 0.993 0.753 1
O12 O 0.988 0.654 0.572 1
```